Record 1
The following is a calculated PXRD pattern of Y2Cu3W6O24. It was derived from a DFT-relaxed cell (PBE+U, Alexandria), using λ = 1.5418 Å (Cu Kα).
Peak positions follow from Bragg's law for the DFT cell and can differ from measured ones.

The 6 most intense peaks (10 to 90 degrees two-theta), in order of rising 2θ:
two_theta  Rel. int.  hkl
15.50  71.2  0 1 0
17.33  87.1  1 0 1
26.75  100.0  1 1 -2
27.36  94.1  0 1 3
30.56  74.4  1 -1 4
30.69  69.2  -2 1 1

Structure:
```
data_Y2Cu3W6O24
_symmetry_space_group_name_H-M 'P 1'
_symmetry_Int_Tables_number 1
_symmetry_space_group_name_Hall 'P 1'
_cell_length_a 6.0703
_cell_length_b 6.1638
_cell_length_c 13.7868
_cell_angle_alpha 99.72
_cell_angle_beta 91.09
_cell_angle_gamma 109.29
loop_
_atom_site_label
_atom_site_fract_x
_atom_site_fract_y
_atom_site_fract_z
Y1 0.1571 0.0164 0.3350
Y2 0.8429 0.9836 0.6650
Cu1 0.0000 0.5000 0.5000
Cu2 0.3203 0.4263 0.1416
Cu3 0.6797 0.5737 0.8584
W1 0.0811 0.3355 0.9211
W2 0.2366 0.6678 0.7480
W3 0.4348 0.3254 0.5867
W4 0.5652 0.6746 0.4133
W5 0.7634 0.3322 0.2520
W6 0.9189 0.6645 0.0789
O1 0.0324 0.4623 0.1772
O2 0.0483 0.9265 0.1744
O3 0.0638 0.7226 0.6435
O4 0.1548 0.3100 0.6553
O5 0.1894 0.6679 0.0162
O6 0.2399 0.2426 0.0102
O7 0.2732 0.0665 0.4964
O8 0.3130 0.5231 0.4923
O9 0.3542 0.4974 0.8457
O10 0.3712 0.9530 0.8119
O11 0.3936 0.7848 0.3389
O12 0.4738 0.3408 0.3180
O13 0.5262 0.6592 0.6820
O14 0.6064 0.2152 0.6611
O15 0.6288 0.0470 0.1881
O16 0.6458 0.5026 0.1543
O17 0.6870 0.4769 0.5077
O18 0.7268 0.9335 0.5036
O19 0.7601 0.7574 0.9898
O20 0.8106 0.3321 0.9838
O21 0.8452 0.6900 0.3447
O22 0.9362 0.2774 0.3565
O23 0.9517 0.0735 0.8256
O24 0.9676 0.5377 0.8228
```

Record 2
The following is a calculated PXRD pattern of YbCuW2O8. It was derived from a DFT-relaxed cell (PBE+U, Alexandria), using λ = 1.5418 Å (Cu Kα).
Peak positions follow from Bragg's law for the DFT cell and can differ from measured ones.

The 6 most intense peaks (10 to 90 degrees two-theta), in order of rising 2θ:
two_theta  Rel. int.  hkl
22.97  55.0  0 1 2
28.44  100.0  1 1 1
29.64  84.7  1 1 -3
34.31  41.4  1 2 -1
35.50  28.4  2 0 -2
48.27  26.3  0 3 2

Structure:
```
data_YbCuW2O8
_symmetry_space_group_name_H-M 'P 1'
_symmetry_Int_Tables_number 1
_symmetry_space_group_name_Hall 'P 1'
_cell_length_a 5.0648
_cell_length_b 6.1052
_cell_length_c 10.9877
_cell_angle_alpha 90.00
_cell_angle_beta 114.30
_cell_angle_gamma 90.00
loop_
_atom_site_label
_atom_site_fract_x
_atom_site_fract_y
_atom_site_fract_z
Yb1 0.0000 0.1543 0.2500
Yb2 0.0000 0.8457 0.7500
Cu1 0.5000 0.2336 0.7500
Cu2 0.5000 0.7664 0.2500
W1 0.2445 0.3343 0.9913
W2 0.2445 0.6657 0.4913
W3 0.7555 0.3343 0.5087
W4 0.7555 0.6657 0.0087
O1 0.1630 0.4110 0.6068
O2 0.1630 0.5890 0.1068
O3 0.2183 0.1313 0.1063
O4 0.2183 0.8687 0.6063
O5 0.2785 0.1584 0.8602
O6 0.2785 0.8416 0.3602
O7 0.3425 0.3874 0.4014
O8 0.3425 0.6126 0.9014
O9 0.6575 0.3874 0.0986
O10 0.6575 0.6126 0.5986
O11 0.7215 0.1584 0.6398
O12 0.7215 0.8416 0.1398
O13 0.7817 0.1313 0.3937
O14 0.7817 0.8687 0.8937
O15 0.8370 0.4110 0.8932
O16 0.8370 0.5890 0.3932
```

Record 3
The following is a calculated PXRD pattern of ZnCuW2O8. It was derived from a DFT-relaxed cell (PBE+U, Alexandria), using λ = 1.5418 Å (Cu Kα).
Peak positions follow from Bragg's law for the DFT cell and can differ from measured ones.

The 6 most intense peaks (10 to 90 degrees two-theta), in order of rising 2θ:
two_theta  Rel. int.  hkl
18.71  70.2  1 0 0
22.92  78.8  1 0 1
28.23  100.0  1 1 1
30.05  80.9  1 -1 1
30.72  72.2  1 1 -1
31.21  66.7  -1 1 1

Structure:
```
data_ZnCuW2O8
_symmetry_space_group_name_H-M 'P 1'
_symmetry_Int_Tables_number 1
_symmetry_space_group_name_Hall 'P 1'
_cell_length_a 4.7704
_cell_length_b 5.0006
_cell_length_c 5.9406
_cell_angle_alpha 87.76
_cell_angle_beta 84.55
_cell_angle_gamma 86.97
loop_
_atom_site_label
_atom_site_fract_x
_atom_site_fract_y
_atom_site_fract_z
Zn1 0.0000 0.0000 0.0000
Cu1 0.0203 0.5145 0.3462
W1 0.5201 0.0264 0.5189
W2 0.5244 0.5159 0.8603
O1 0.2529 0.6661 0.0737
O2 0.2736 0.1925 0.3361
O3 0.3075 0.2044 0.8044
O4 0.3125 0.7188 0.6029
O5 0.7393 0.8311 0.7912
O6 0.7438 0.3405 0.5725
O7 0.7675 0.3478 0.0435
O8 0.7902 0.8590 0.3154
```